Structure and theoretical PXRD pattern of Sc2CrIrO8 (a crystal structure in Alexandria, relaxed with PBE+U; Cu Kα, 1.54184 Å).
Peak positions follow from Bragg's law for the DFT cell and can differ from measured ones.

Structural model:
a b c (Å): 6.553 6.773 6.256
angles (deg): 90.00 90.00 90.00
Space group Cmmm (No. 65)
Symmetry-distinct sites (fractional):
Sc  0.000  0.000  0.243
Cr  0.000  0.500  0.000
Ir  0.000  0.500  0.500
O  0.000  0.316  0.253
O  0.211  0.000  0.000
O  0.211  0.000  0.500

Most intense lines, 10 to 90 degrees two-theta, by angle:
Position (°2θ)  I (rel.)  index
14.2  42  0 0 1
18.8  70  1 1 0
23.6  59  1 1 1
26.3  77  0 2 0
27.2  65  2 0 0
34.4  100  1 1 2
51.9  50  1 3 2
52.9  41  3 1 2